[1]
Computed PXRD pattern
Compound: K3H3Pd
Radiation: Cu Ka
Structure: a cell relaxed with PBE
Peak positions follow from Bragg's law for the DFT cell and can differ from measured ones.

Main lines, sorted by position (5° ≤ 2θ ≤ 70°):
| 2theta | I (rel.) | (hkl) |
| --- | --- | --- |
| 16.56 | 23 | 2 0 0 |
| 17.35 | 12 | 0 0 2 |
| 24.07 | 21 | 2 0 2 |
| 29.36 | 100 | 2 2 2 |
| 33.49 | 36 | 4 0 0 |
| 35.10 | 14 | 0 0 4 |
| 41.67 | 14 | 4 2 2 |
| 48.09 | 11 | 4 4 0 |
| 49.30 | 16 | 4 0 4 |
| 57.35 | 21 | 6 2 2 |

Structure:
Lattice parameters (Å, degrees): 10.704 10.704 10.225 90.00 90.00 90.00
Space group P4_2/mnm (No. 136)
One atom of each set of equivalent atoms:
1 K 0.004 0.251 0.213 (multiplicity 16)
2 K 0.208 0.208 0.500 (multiplicity 4)
3 K 0.208 0.792 0.500 (multiplicity 4)
4 H 0.000 0.000 0.334 (multiplicity 4)
5 H 0.000 0.343 0.500 (multiplicity 8)
6 H 0.112 0.112 0.000 (multiplicity 4)
7 H 0.245 0.755 0.245 (multiplicity 8)
8 Pd 0.000 0.000 0.000 (multiplicity 2)
9 Pd 0.000 0.000 0.500 (multiplicity 2)
10 Pd 0.000 0.500 0.000 (multiplicity 4)

[2]
Computed PXRD pattern
Compound: Ni15Sb
Radiation: Cu Ka
Structure: a cell relaxed with PBE
Peak positions follow from Bragg's law for the DFT cell and can differ from measured ones.

Main lines, sorted by position (5° ≤ 2θ ≤ 70°):
| 2theta | I (rel.) | (hkl) |
| --- | --- | --- |
| 5.27 | 100 | 0 2 0 |
| 7.91 | 7 | 0 3 0 |
| 10.55 | 14 | 0 4 0 |
| 39.24 | 5 | 1 11 -1 |
| 43.64 | 33 | 1 13 -1 |
| 44.84 | 59 | 2 0 0 |
| 45.96 | 23 | 1 14 -1 |
| 51.05 | 20 | 1 13 1 |
| 52.51 | 18 | 2 0 -2 |
| 53.12 | 15 | 1 14 1 |

Structure:
Lattice parameters (Å, degrees): 4.281 33.540 4.281 90.00 109.09 90.00
Space group P2 (No. 3)
One atom of each set of equivalent atoms:
1 Ni 0.000 0.000 0.000 (multiplicity 1)
2 Ni 0.000 0.036 0.500 (multiplicity 1)
3 Ni 0.000 0.073 0.000 (multiplicity 1)
4 Ni 0.000 0.111 0.500 (multiplicity 1)
5 Ni 0.000 0.147 0.000 (multiplicity 1)
6 Ni 0.000 0.184 0.500 (multiplicity 1)
7 Ni 0.000 0.222 0.000 (multiplicity 1)
8 Ni 0.000 0.741 0.500 (multiplicity 1)
9 Ni 0.000 0.778 0.000 (multiplicity 1)
10 Ni 0.000 0.815 0.500 (multiplicity 1)
11 Ni 0.000 0.852 0.000 (multiplicity 1)
12 Ni 0.000 0.889 0.500 (multiplicity 1)
13 Ni 0.000 0.926 0.000 (multiplicity 1)
14 Ni 0.000 0.963 0.500 (multiplicity 1)
15 Ni 0.500 0.000 0.500 (multiplicity 1)
16 Ni 0.500 0.037 0.000 (multiplicity 1)
17 Ni 0.500 0.073 0.500 (multiplicity 1)
18 Ni 0.500 0.111 0.000 (multiplicity 1)
19 Ni 0.500 0.147 0.500 (multiplicity 1)
20 Ni 0.500 0.184 0.000 (multiplicity 1)
21 Ni 0.500 0.222 0.500 (multiplicity 1)
22 Ni 0.500 0.257 0.000 (multiplicity 1)
23 Ni 0.500 0.706 0.500 (multiplicity 1)
24 Ni 0.500 0.741 0.000 (multiplicity 1)
25 Ni 0.500 0.779 0.500 (multiplicity 1)
26 Ni 0.500 0.815 0.000 (multiplicity 1)
27 Ni 0.500 0.852 0.500 (multiplicity 1)
28 Ni 0.500 0.889 0.000 (multiplicity 1)
29 Ni 0.500 0.926 0.500 (multiplicity 1)
30 Ni 0.500 0.963 0.000 (multiplicity 1)
31 Sb 0.000 0.269 0.500 (multiplicity 1)
32 Sb 0.000 0.694 0.000 (multiplicity 1)